For Al8Ni7, DFT lattice parameters and positions (PBE) gives the simulated X-ray diffraction stick pattern in this record (Cu Kα X-rays).
Intensities are scaled so that the largest is 100.

Atomic structure:
abc: 8.7863 8.7863 4.9243
angles: 90.00 90.00 90.00
Atoms (fractional coordinates):
Al 0.0456 0.3622 0.0000
Al 0.1378 0.5456 0.5000
Al 0.1691 0.8309 0.2478
Al 0.1691 0.8309 0.7522
Al 0.3309 0.3309 0.2522
Al 0.3309 0.3309 0.7478
Al 0.3622 0.0456 0.0000
Al 0.4544 0.8622 0.5000
Al 0.5456 0.1378 0.5000
Al 0.6378 0.9544 0.0000
Al 0.6691 0.6691 0.2522
Al 0.6691 0.6691 0.7478
Al 0.8309 0.1691 0.2478
Al 0.8309 0.1691 0.7522
Al 0.8622 0.4544 0.5000
Al 0.9544 0.6378 0.0000
Ni 0.0000 0.0000 0.5000
Ni 0.0730 0.2714 0.5000
Ni 0.0980 0.0980 0.0000
Ni 0.2286 0.5730 0.0000
Ni 0.2714 0.0730 0.5000
Ni 0.4020 0.5980 0.5000
Ni 0.4270 0.7714 0.0000
Ni 0.5000 0.5000 0.0000
Ni 0.5730 0.2286 0.0000
Ni 0.5980 0.4020 0.5000
Ni 0.7286 0.9270 0.5000
Ni 0.7714 0.4270 0.0000
Ni 0.9020 0.9020 0.0000
Ni 0.9270 0.7286 0.5000

Largest 10 diffraction maxima, low angle first, 10 to 90 degrees two-theta:
| d/Å | intensity | h k l |
| --- | --- | --- |
| 6.213 | 31 | 1 1 0 |
| 3.929 | 25 | 2 1 0 |
| 2.462 | 53 | 0 0 2 |
| 2.131 | 70 | 4 1 0 |
| 2.086 | 74 | 2 1 2 |
| 2.071 | 21 | 3 3 0 |
| 1.956 | 100 | 4 1 1 |
| 1.909 | 73 | 3 3 1 |
| 1.300 | 24 | 4 1 3 |
| 1.286 | 22 | 3 3 3 |